(1)
Calculated X-ray powder pattern
Compound: Be3CuNi4
Radiation: λ = 1.5418 Å (Cu Kα)
Structure: DFT lattice parameters and positions (PBE)

Structural model:
Cell lengths 3.7753, 3.7753, 18.6553 Å; angles 90.00, 90.00, 120.00 degrees
Space group R-3m (No. 166, hexagonal axes)
Asymmetric unit:
Be1 0.0000 0.0000 0.0000 [3 per cell]
Be2 0.0000 0.0000 0.2488 [6 per cell]
Cu1 0.0000 0.0000 0.5000 [3 per cell]
Ni1 0.0000 0.0000 0.1178 [6 per cell]
Ni2 0.0000 0.0000 0.3707 [6 per cell]

Top 6 peaks for 2θ from 10° to 90°, sorted by position:
two_theta	I (rel.)	h k l
33.47	70	1 0 4
36.54	17	0 1 5
47.92	95	0 1 8
48.21	100	1 1 0
70.33	28	2 0 8
89.83	28	1 2 8

***

(2)
Calculated X-ray powder pattern
Compound: BeCuNi
Radiation: λ = 1.5418 Å (Cu Kα)
Structure: DFT lattice parameters and positions (PBE)

Structural model:
Cell lengths 2.3813, 13.6728, 4.0422 Å; angles 90.00, 90.00, 90.00 degrees
Space group Cmcm (No. 63)
Asymmetric unit:
Be1 0.0000 0.2203 0.2500 [4 per cell]
Cu1 0.0000 0.0473 0.2500 [4 per cell]
Ni1 0.0000 0.1428 0.7500 [4 per cell]

Top 6 peaks for 2θ from 10° to 90°, sorted by position:
two_theta	I (rel.)	h k l
12.95	74	0 2 0
34.36	91	0 4 1
38.37	100	1 1 0
44.85	53	0 0 2
45.70	78	0 6 1
56.03	98	1 5 1

***

(3)
Calculated X-ray powder pattern
Compound: BeCuNi14
Radiation: λ = 1.5418 Å (Cu Kα)
Structure: DFT lattice parameters and positions (PBE)

Structural model:
Cell lengths 8.0945, 4.9561, 8.5776 Å; angles 90.00, 90.00, 90.00 degrees
Space group Amm2 (No. 38)
Asymmetric unit:
Be1 0.0000 0.0000 0.0000 [2 per cell]
Cu1 0.0000 0.0000 0.4984 [2 per cell]
Ni1 0.0000 0.2484 0.2489 [4 per cell]
Ni2 0.2448 0.0000 0.8347 [4 per cell]
Ni3 0.2473 0.2469 0.0829 [8 per cell]
Ni4 0.2513 0.0000 0.3325 [4 per cell]
Ni5 0.5000 0.0000 0.1661 [2 per cell]
Ni6 0.5000 0.0000 0.6669 [2 per cell]
Ni7 0.5000 0.2491 0.9168 [4 per cell]

Top 6 peaks for 2θ from 10° to 90°, sorted by position:
two_theta	I (rel.)	h k l
43.65	39	1 2 2
44.79	35	4 0 0
48.00	100	2 0 4
54.66	19	3 2 2
76.99	19	0 4 0
84.92	17	6 0 4